Record 1
Calculated PXRD pattern of La2Pm4YHo2 for Cu Kα (weighted mean of Kα1 and Kα2), from the PBE geometry in Alexandria.
Kinematic intensities with the Lorentz-polarization factor, no thermal factor.

Peak list (10 most intense, 10 to 80 degrees two-theta, low angle first)
d/Å, 2θ (°), I_rel
3.153, 28.31, 33
3.087, 28.92, 27
2.923, 30.58, 52
2.860, 31.28, 100
2.719, 32.94, 91
1.832, 49.77, 27
1.707, 53.71, 21
1.617, 56.94, 20
1.555, 59.43, 16
1.552, 59.55, 31

Structure:
```
La2Pm4YHo2
1.0
9.5106 -1.8369 0.0000
9.5106 1.8369 0.0000
-4.2343 0.0000 8.7695
La Pm Y Ho
2 4 1 2
direct
0.1661 0.1661 0.4980 La
0.8339 0.8339 0.5020 La
0.0191 0.0191 0.8373 Pm
0.3140 0.3140 0.1649 Pm
0.6860 0.6860 0.8351 Pm
0.9809 0.9809 0.1627 Pm
0.5000 0.5000 0.5000 Y
0.3522 0.3522 0.8346 Ho
0.6478 0.6478 0.1654 Ho
```

Record 2
Calculated PXRD pattern of La4Pm2Y2Ho for Cu Kα (weighted mean of Kα1 and Kα2), from the PBE geometry in Alexandria.
Kinematic intensities with the Lorentz-polarization factor, no thermal factor.

Peak list (10 most intense, 10 to 80 degrees two-theta, low angle first)
d/Å, 2θ (°), I_rel
2.991, 29.87, 100
2.590, 34.63, 50
1.833, 49.74, 18
1.830, 49.82, 18
1.564, 59.05, 4
1.562, 59.14, 32
1.561, 59.20, 7
1.498, 61.95, 3
1.495, 62.09, 9
1.295, 73.05, 6

Structure:
```
La4Pm2Y2Ho
1.0
9.5117 -1.8301 0.0000
9.5117 1.8301 0.0000
-0.0093 0.0000 8.9878
La Pm Y Ho
4 2 2 1
direct
0.0546 0.0546 0.1732 La
0.2773 0.2773 0.8285 La
0.7227 0.7227 0.1715 La
0.9454 0.9454 0.8268 La
0.3889 0.3889 0.1696 Pm
0.6111 0.6111 0.8304 Pm
0.1655 0.1655 0.5020 Y
0.8345 0.8345 0.4980 Y
0.5000 0.5000 0.5000 Ho
```

Record 3
Calculated PXRD pattern of LaPm2YHo5 for Cu Kα (weighted mean of Kα1 and Kα2), from the PBE geometry in Alexandria.
Kinematic intensities with the Lorentz-polarization factor, no thermal factor.

Peak list (10 most intense, 10 to 80 degrees two-theta, low angle first)
d/Å, 2θ (°), I_rel
3.119, 28.62, 53
3.100, 28.80, 50
2.897, 30.86, 100
2.773, 32.28, 19
2.426, 37.05, 14
2.402, 37.43, 19
2.108, 42.91, 20
1.930, 47.08, 13
1.748, 52.33, 20
1.639, 56.13, 13

Structure:
```
LaPm2YHo5
1.0
-4.3844 4.3844 7.7208
4.3844 -4.3844 7.7208
4.3844 4.3844 -7.7208
La Pm Y Ho
2 4 2 10
direct
0.2500 0.2500 0.0000 La
0.7500 0.7500 0.0000 La
0.1163 0.6163 0.7325 Pm
0.3837 0.1163 0.5000 Pm
0.6163 0.8837 0.5000 Pm
0.8837 0.3837 0.2675 Pm
0.2500 0.7500 0.5000 Y
0.7500 0.2500 0.5000 Y
0.0000 0.0000 0.0000 Ho
0.0738 0.1550 0.5000 Ho
0.1550 0.6550 0.0812 Ho
0.3450 0.4262 0.5000 Ho
0.4262 0.9262 0.0812 Ho
0.5000 0.5000 0.0000 Ho
0.5738 0.0738 0.9188 Ho
0.6550 0.5738 0.5000 Ho
0.8450 0.3450 0.9188 Ho
0.9262 0.8450 0.5000 Ho
```

Record 4
Calculated PXRD pattern of La4Pr5Ho4 for Cu Kα (weighted mean of Kα1 and Kα2), from the PBE geometry in Alexandria.
Kinematic intensities with the Lorentz-polarization factor, no thermal factor.

Peak list (10 most intense, 10 to 80 degrees two-theta, low angle first)
d/Å, 2θ (°), I_rel
2.996, 29.82, 100
2.600, 34.49, 17
2.592, 34.60, 34
1.836, 49.66, 24
1.833, 49.75, 12
1.567, 58.94, 15
1.564, 59.08, 29
1.498, 61.94, 12
1.300, 72.74, 2
1.296, 73.00, 4

Structure:
```
La4Pr5Ho4
1.0
5.2005 0.0000 0.0000
2.5910 9.3443 0.0000
2.5951 -0.0048 9.3477
La Pr Ho
4 5 4
direct
0.0769 0.3059 0.0396 La
0.3835 0.5398 0.1941 La
0.6165 0.4602 0.8059 La
0.9231 0.6941 0.9604 La
0.0000 0.0000 0.5000 Pr
0.3093 0.2327 0.6491 Pr
0.4582 0.8509 0.7330 Pr
0.5418 0.1491 0.2670 Pr
0.6907 0.7673 0.3509 Pr
0.1539 0.6144 0.5774 Ho
0.2312 0.9228 0.1143 Ho
0.7688 0.0772 0.8857 Ho
0.8461 0.3856 0.4226 Ho
```

Record 5
Calculated PXRD pattern of La3Pr5Ho2 for Cu Kα (weighted mean of Kα1 and Kα2), from the PBE geometry in Alexandria.
Kinematic intensities with the Lorentz-polarization factor, no thermal factor.

Peak list (10 most intense, 10 to 80 degrees two-theta, low angle first)
d/Å, 2θ (°), I_rel
3.101, 28.79, 48
3.087, 28.92, 48
2.916, 30.66, 100
2.820, 31.73, 21
2.776, 32.24, 48
2.676, 33.49, 18
2.272, 39.66, 14
1.880, 48.42, 21
1.559, 59.27, 14
1.506, 61.60, 15

Structure:
```
La3Pr5Ho2
1.0
5.5524 -7.4717 0.0000
5.5524 7.4717 0.0000
-5.5042 0.0000 8.5983
La Pr Ho
6 10 4
direct
0.0250 0.2770 0.0581 La
0.2270 0.7730 0.7500 La
0.2770 0.0250 0.5581 La
0.7230 0.9750 0.4419 La
0.7730 0.2270 0.2500 La
0.9750 0.7230 0.9419 La
0.0180 0.9820 0.7500 Pr
0.1380 0.3842 0.7642 Pr
0.2708 0.7292 0.2500 Pr
0.3842 0.1380 0.2642 Pr
0.4773 0.5227 0.2500 Pr
0.5227 0.4773 0.7500 Pr
0.6158 0.8620 0.7358 Pr
0.7292 0.2708 0.7500 Pr
0.8620 0.6158 0.2358 Pr
0.9820 0.0180 0.2500 Pr
0.2204 0.4684 0.4456 Ho
0.4684 0.2204 0.9456 Ho
0.5316 0.7796 0.0544 Ho
0.7796 0.5316 0.5544 Ho
```

Record 6
Calculated PXRD pattern of LaPr4Ho10 for Cu Kα (weighted mean of Kα1 and Kα2), from the PBE geometry in Alexandria.
Kinematic intensities with the Lorentz-polarization factor, no thermal factor.

Peak list (10 most intense, 10 to 80 degrees two-theta, low angle first)
d/Å, 2θ (°), I_rel
7.301, 12.12, 21
3.395, 26.25, 33
3.149, 28.34, 23
3.122, 28.59, 84
2.797, 32.00, 100
2.706, 33.11, 54
2.208, 40.88, 30
2.183, 41.37, 27
1.564, 59.05, 20
1.352, 69.52, 18

Structure:
```
LaPr4Ho10
1.0
-4.9362 4.9362 5.4227
4.9362 -4.9362 5.4227
4.9362 4.9362 -5.4227
La Pr Ho
1 4 10
direct
0.0000 0.0000 0.0000 La
0.2147 0.4509 0.6657 Pr
0.4509 0.7853 0.2362 Pr
0.5491 0.2147 0.7638 Pr
0.7853 0.5491 0.3343 Pr
0.0459 0.3852 0.0921 Ho
0.0462 0.9541 0.3394 Ho
0.2500 0.7500 0.5000 Ho
0.2932 0.9538 0.9079 Ho
0.3852 0.2932 0.3394 Ho
0.6148 0.7068 0.6606 Ho
0.7068 0.0462 0.0921 Ho
0.7500 0.2500 0.5000 Ho
0.9538 0.0459 0.6606 Ho
0.9541 0.6148 0.9079 Ho
```

Record 7
Calculated PXRD pattern of La2Pr3Ho8 for Cu Kα (weighted mean of Kα1 and Kα2), from the PBE geometry in Alexandria.
Kinematic intensities with the Lorentz-polarization factor, no thermal factor.

Peak list (10 most intense, 10 to 80 degrees two-theta, low angle first)
d/Å, 2θ (°), I_rel
2.983, 29.95, 13
2.948, 30.32, 29
2.878, 31.07, 100
2.860, 31.27, 24
2.773, 32.29, 46
2.720, 32.93, 83
2.695, 33.25, 28
1.873, 48.62, 14
1.696, 54.09, 11
1.600, 57.62, 12

Structure:
```
La2Pr3Ho8
1.0
7.0968 0.0000 0.0000
1.8728 8.2597 0.0000
0.1048 3.9794 7.6190
La Pr Ho
2 3 8
direct
0.1708 0.3470 0.4380 La
0.8292 0.6530 0.5620 La
0.0000 0.5000 0.0000 Pr
0.3331 0.6414 0.5921 Pr
0.6669 0.3586 0.4079 Pr
0.0103 0.9568 0.7229 Ho
0.2003 0.1973 0.8738 Ho
0.3052 0.7508 0.1257 Ho
0.4724 0.0594 0.2698 Ho
0.5276 0.9406 0.7302 Ho
0.6948 0.2492 0.8743 Ho
0.7997 0.8027 0.1262 Ho
0.9897 0.0432 0.2771 Ho
```

Record 8
Calculated PXRD pattern of La2Pr3Ho5 for Cu Kα (weighted mean of Kα1 and Kα2), from the PBE geometry in Alexandria.
Kinematic intensities with the Lorentz-polarization factor, no thermal factor.

Peak list (10 most intense, 10 to 80 degrees two-theta, low angle first)
d/Å, 2θ (°), I_rel
3.028, 29.50, 100
2.900, 30.83, 93
2.812, 31.83, 19
2.675, 33.50, 43
2.480, 36.22, 18
1.874, 48.58, 32
1.604, 57.45, 16
1.535, 60.29, 21
1.476, 62.99, 23
1.376, 68.12, 20

Structure:
```
La2Pr3Ho5
1.0
5.3505 -8.3974 0.0000
5.3505 8.3974 0.0000
-5.3495 0.0000 7.5711
La Pr Ho
4 6 10
direct
0.0197 0.2766 0.0440 La
0.2766 0.0197 0.5440 La
0.7234 0.9803 0.4560 La
0.9803 0.7234 0.9560 La
0.0212 0.9788 0.7500 Pr
0.2279 0.4810 0.4563 Pr
0.4810 0.2279 0.9563 Pr
0.5190 0.7721 0.0437 Pr
0.7721 0.5190 0.5437 Pr
0.9788 0.0212 0.2500 Pr
0.1192 0.3877 0.7504 Ho
0.2227 0.7773 0.7500 Ho
0.2782 0.7218 0.2500 Ho
0.3877 0.1192 0.2504 Ho
0.4757 0.5243 0.2500 Ho
0.5243 0.4757 0.7500 Ho
0.6123 0.8808 0.7496 Ho
0.7218 0.2782 0.7500 Ho
0.7773 0.2227 0.2500 Ho
0.8808 0.6123 0.2496 Ho
```